1.
Simulated PXRD pattern
Compound: Cs2InHg6Pb
Radiation: CuKα
Structure: DFT lattice parameters and positions (GGA-PBE)

The 8 most intense peaks (10° ≤ 2θ ≤ 90°), by angle:
Position (°2θ)	I (rel.)
12.17	346
15.41	363
23.67	841
29.74	806
31.11	1000
31.81	812
34.79	351
35.31	390

Crystal structure
```
data_Cs2InHg6Pb
_symmetry_space_group_name_H-M 'P 1'
_symmetry_Int_Tables_number 1
_cell_length_a 7.107
_cell_length_b 8.157
_cell_length_c 8.359
_cell_angle_alpha 72.64
_cell_angle_beta 64.90
_cell_angle_gamma 64.21
loop_
_symmetry_equiv_pos_as_xyz
'x,y,z'
loop_
_atom_site_label
_atom_site_type_symbol
_atom_site_fract_x
_atom_site_fract_y
_atom_site_fract_z
Cs1 Cs 0.245 0.302 0.207
Cs2 Cs 0.755 0.698 0.793
In1 In 0.500 0.500 0.500
Hg1 Hg 0.248 0.768 0.265
Hg2 Hg 0.251 0.876 0.621
Hg3 Hg 0.281 0.233 0.736
Hg4 Hg 0.719 0.767 0.264
Hg5 Hg 0.749 0.124 0.379
Hg6 Hg 0.752 0.232 0.735
Pb1 Pb 0.000 0.000 0.000
```


2.
Simulated PXRD pattern
Compound: Sm2Y3Ho6
Radiation: CuKα
Structure: DFT lattice parameters and positions (GGA-PBE)

The 8 most intense peaks (10° ≤ 2θ ≤ 90°), by angle:
Position (°2θ)	I (rel.)
31.04	1000
31.19	327
36.04	666
51.79	236
51.98	234
61.64	280
61.75	139
64.71	122

Crystal structure
```
data_Sm2Y3Ho6
_symmetry_space_group_name_H-M 'P 1'
_symmetry_Int_Tables_number 1
_cell_length_a 6.118
_cell_length_b 6.118
_cell_length_c 11.656
_cell_angle_alpha 95.06
_cell_angle_beta 95.06
_cell_angle_gamma 120.09
loop_
_symmetry_equiv_pos_as_xyz
'x,y,z'
loop_
_atom_site_label
_atom_site_type_symbol
_atom_site_fract_x
_atom_site_fract_y
_atom_site_fract_z
Sm1 Sm 0.166 0.834 0.000
Sm2 Sm 0.834 0.166 0.000
Y1 Y 0.000 0.000 0.500
Y2 Y 0.335 0.665 0.500
Y3 Y 0.665 0.335 0.500
Ho1 Ho 0.083 0.417 0.749
Ho2 Ho 0.249 0.249 0.250
Ho3 Ho 0.417 0.083 0.749
Ho4 Ho 0.583 0.917 0.251
Ho5 Ho 0.751 0.751 0.750
Ho6 Ho 0.917 0.583 0.251
```


3.
Simulated PXRD pattern
Compound: CsMgCu2Cl8
Radiation: CuKα
Structure: DFT lattice parameters and positions (GGA-PBE)

The 8 most intense peaks (10° ≤ 2θ ≤ 90°), by angle:
Position (°2θ)	I (rel.)
18.51	1000
24.71	672
27.79	499
28.29	478
29.38	843
33.74	401
47.76	399
49.16	459

Crystal structure
```
data_CsMgCu2Cl8
_symmetry_space_group_name_H-M 'P 1'
_symmetry_Int_Tables_number 1
_cell_length_a 6.420
_cell_length_b 6.420
_cell_length_c 9.463
_cell_angle_alpha 90.00
_cell_angle_beta 90.00
_cell_angle_gamma 120.00
loop_
_symmetry_equiv_pos_as_xyz
'x,y,z'
loop_
_atom_site_label
_atom_site_type_symbol
_atom_site_fract_x
_atom_site_fract_y
_atom_site_fract_z
Cs1 Cs 0.000 0.000 0.000
Mg1 Mg 0.000 0.000 0.500
Cu1 Cu 0.333 0.667 0.714
Cu2 Cu 0.667 0.333 0.286
Cl1 Cl 0.002 0.317 0.658
Cl2 Cl 0.315 0.998 0.658
Cl3 Cl 0.317 0.315 0.342
Cl4 Cl 0.333 0.667 0.948
Cl5 Cl 0.667 0.333 0.052
Cl6 Cl 0.683 0.685 0.658
Cl7 Cl 0.685 0.002 0.342
Cl8 Cl 0.998 0.683 0.342
```


4.
Simulated PXRD pattern
Compound: Pm4PI2N
Radiation: CuKα
Structure: DFT lattice parameters and positions (GGA-PBE)

The 8 most intense peaks (10° ≤ 2θ ≤ 90°), by angle:
Position (°2θ)	I (rel.)
30.06	440
30.18	1000
32.23	223
32.48	535
35.31	336
45.16	345
45.56	222
58.88	347

Crystal structure
```
data_Pm4PI2N
_symmetry_space_group_name_H-M 'P 1'
_symmetry_Int_Tables_number 1
_cell_length_a 6.974
_cell_length_b 3.983
_cell_length_c 7.964
_cell_angle_alpha 90.00
_cell_angle_beta 106.78
_cell_angle_gamma 90.00
loop_
_symmetry_equiv_pos_as_xyz
'x,y,z'
loop_
_atom_site_label
_atom_site_type_symbol
_atom_site_fract_x
_atom_site_fract_y
_atom_site_fract_z
Pm1 Pm 0.201 0.000 0.174
Pm2 Pm 0.241 0.500 0.823
Pm3 Pm 0.759 0.500 0.177
Pm4 Pm 0.799 0.000 0.826
P1 P 0.500 0.000 0.000
I1 I 0.000 0.000 0.500
I2 I 0.500 0.500 0.500
N1 N 0.000 0.500 0.000
```


5.
Simulated PXRD pattern
Compound: Na6As2Pt
Radiation: CuKα
Structure: DFT lattice parameters and positions (GGA-PBE)

The 8 most intense peaks (10° ≤ 2θ ≤ 90°), by angle:
Position (°2θ)	I (rel.)
20.40	1000
21.12	502
35.28	773
37.84	462
40.68	218
52.70	175
53.01	217
65.02	181

Crystal structure
```
data_Na6As2Pt
_symmetry_space_group_name_H-M 'P 1'
_symmetry_Int_Tables_number 1
_cell_length_a 9.859
_cell_length_b 9.859
_cell_length_c 9.859
_cell_angle_alpha 29.90
_cell_angle_beta 29.90
_cell_angle_gamma 29.90
loop_
_symmetry_equiv_pos_as_xyz
'x,y,z'
loop_
_atom_site_label
_atom_site_type_symbol
_atom_site_fract_x
_atom_site_fract_y
_atom_site_fract_z
Na1 Na 0.082 0.082 0.082
Na2 Na 0.199 0.199 0.199
Na3 Na 0.307 0.307 0.307
Na4 Na 0.693 0.693 0.693
Na5 Na 0.801 0.801 0.801
Na6 Na 0.918 0.918 0.918
As1 As 0.412 0.412 0.412
As2 As 0.588 0.588 0.588
Pt1 Pt 0.500 0.500 0.500
```


6.
Simulated PXRD pattern
Compound: Li3ErTl4
Radiation: CuKα
Structure: DFT lattice parameters and positions (GGA-PBE)

The 8 most intense peaks (10° ≤ 2θ ≤ 90°), by angle:
Position (°2θ)	I (rel.)
24.96	975
35.31	981
35.86	1000
44.18	220
51.21	347
58.16	198
64.09	356
64.44	186

Crystal structure
```
data_Li3ErTl4
_symmetry_space_group_name_H-M 'P 1'
_symmetry_Int_Tables_number 1
_cell_length_a 8.852
_cell_length_b 8.852
_cell_length_c 8.852
_cell_angle_alpha 32.87
_cell_angle_beta 32.87
_cell_angle_gamma 32.87
loop_
_symmetry_equiv_pos_as_xyz
'x,y,z'
loop_
_atom_site_label
_atom_site_type_symbol
_atom_site_fract_x
_atom_site_fract_y
_atom_site_fract_z
Li1 Li 0.000 0.000 0.000
Li2 Li 0.249 0.249 0.249
Li3 Li 0.751 0.751 0.751
Er1 Er 0.500 0.500 0.500
Tl1 Tl 0.118 0.118 0.118
Tl2 Tl 0.371 0.371 0.371
Tl3 Tl 0.629 0.629 0.629
Tl4 Tl 0.882 0.882 0.882
```


7.
Simulated PXRD pattern
Compound: NaPm6Ge5
Radiation: CuKα
Structure: DFT lattice parameters and positions (GGA-PBE)

The 8 most intense peaks (10° ≤ 2θ ≤ 90°), by angle:
Position (°2θ)	I (rel.)
24.77	63
24.89	133
29.23	1000
40.80	362
42.67	110
42.86	230
51.05	123
67.30	84

Crystal structure
```
data_NaPm6Ge5
_symmetry_space_group_name_H-M 'P 1'
_symmetry_Int_Tables_number 1
_cell_length_a 7.656
_cell_length_b 7.656
_cell_length_c 7.212
_cell_angle_alpha 100.09
_cell_angle_beta 100.09
_cell_angle_gamma 119.86
loop_
_symmetry_equiv_pos_as_xyz
'x,y,z'
loop_
_atom_site_label
_atom_site_type_symbol
_atom_site_fract_x
_atom_site_fract_y
_atom_site_fract_z
Na1 Na 0.000 0.000 0.000
Pm1 Pm 0.090 0.456 0.271
Pm2 Pm 0.276 0.276 0.741
Pm3 Pm 0.456 0.090 0.271
Pm4 Pm 0.544 0.910 0.729
Pm5 Pm 0.724 0.724 0.259
Pm6 Pm 0.910 0.544 0.729
Ge1 Ge 0.150 0.850 0.500
Ge2 Ge 0.331 0.669 0.000
Ge3 Ge 0.500 0.500 0.500
Ge4 Ge 0.669 0.331 0.000
Ge5 Ge 0.850 0.150 0.500
```


8.
Simulated PXRD pattern
Compound: Pm2Tm3Co2
Radiation: CuKα
Structure: DFT lattice parameters and positions (GGA-PBE)

The 8 most intense peaks (10° ≤ 2θ ≤ 90°), by angle:
Position (°2θ)	I (rel.)
29.79	570
30.06	462
31.94	338
33.31	1000
35.24	637
36.91	323
39.84	186
50.61	264

Crystal structure
```
data_Pm2Tm3Co2
_symmetry_space_group_name_H-M 'P 1'
_symmetry_Int_Tables_number 1
_cell_length_a 6.307
_cell_length_b 6.307
_cell_length_c 8.932
_cell_angle_alpha 115.31
_cell_angle_beta 115.31
_cell_angle_gamma 33.24
loop_
_symmetry_equiv_pos_as_xyz
'x,y,z'
loop_
_atom_site_label
_atom_site_type_symbol
_atom_site_fract_x
_atom_site_fract_y
_atom_site_fract_z
Pm1 Pm 0.169 0.169 0.301
Pm2 Pm 0.831 0.831 0.699
Tm1 Tm 0.380 0.380 0.074
Tm2 Tm 0.500 0.500 0.500
Tm3 Tm 0.620 0.620 0.926
Co1 Co 0.175 0.175 0.742
Co2 Co 0.825 0.825 0.258
```


9.
Simulated PXRD pattern
Compound: PmNd4P5
Radiation: CuKα
Structure: DFT lattice parameters and positions (GGA-PBE)

The 8 most intense peaks (10° ≤ 2θ ≤ 90°), by angle:
Position (°2θ)	I (rel.)
26.23	796
30.38	1000
43.50	735
51.51	395
53.98	258
69.65	159
71.72	220
79.85	206

Crystal structure
```
data_PmNd4P5
_symmetry_space_group_name_H-M 'P 1'
_symmetry_Int_Tables_number 1
_cell_length_a 11.006
_cell_length_b 11.006
_cell_length_c 11.006
_cell_angle_alpha 158.19
_cell_angle_beta 149.01
_cell_angle_gamma 38.22
loop_
_symmetry_equiv_pos_as_xyz
'x,y,z'
loop_
_atom_site_label
_atom_site_type_symbol
_atom_site_fract_x
_atom_site_fract_y
_atom_site_fract_z
Pm1 Pm 0.000 0.000 0.000
Nd1 Nd 0.200 0.200 0.000
Nd2 Nd 0.400 0.400 0.000
Nd3 Nd 0.600 0.600 0.000
Nd4 Nd 0.800 0.800 0.000
P1 P 0.099 0.599 0.500
P2 P 0.300 0.800 0.500
P3 P 0.500 0.000 0.500
P4 P 0.700 0.200 0.500
P5 P 0.901 0.401 0.500
```


10.
Simulated PXRD pattern
Compound: Zr4Ga7Co4
Radiation: CuKα
Structure: DFT lattice parameters and positions (GGA-PBE)

The 8 most intense peaks (10° ≤ 2θ ≤ 90°), by angle:
Position (°2θ)	I (rel.)
34.08	140
37.76	1000
38.11	127
40.39	454
40.52	292
44.90	149
45.97	159
63.45	208

Crystal structure
```
data_Zr4Ga7Co4
_symmetry_space_group_name_H-M 'P 1'
_symmetry_Int_Tables_number 1
_cell_length_a 9.805
_cell_length_b 9.805
_cell_length_c 9.805
_cell_angle_alpha 94.13
_cell_angle_beta 94.13
_cell_angle_gamma 148.88
loop_
_symmetry_equiv_pos_as_xyz
'x,y,z'
loop_
_atom_site_label
_atom_site_type_symbol
_atom_site_fract_x
_atom_site_fract_y
_atom_site_fract_z
Zr1 Zr 0.000 0.195 0.195
Zr2 Zr 0.000 0.805 0.805
Zr3 Zr 0.195 0.000 0.195
Zr4 Zr 0.359 0.359 0.718
Zr5 Zr 0.359 0.641 0.000
Zr6 Zr 0.641 0.359 0.000
Zr7 Zr 0.641 0.641 0.282
Zr8 Zr 0.805 0.000 0.805
Ga1 Ga 0.000 0.402 0.402
Ga2 Ga 0.000 0.598 0.598
Ga3 Ga 0.200 0.500 0.700
Ga4 Ga 0.207 0.207 0.413
Ga5 Ga 0.207 0.793 0.000
Ga6 Ga 0.251 0.251 0.000
Ga7 Ga 0.402 0.000 0.402
Ga8 Ga 0.500 0.200 0.700
Ga9 Ga 0.500 0.800 0.300
Ga10 Ga 0.598 0.000 0.598
Ga11 Ga 0.749 0.749 0.000
Ga12 Ga 0.793 0.207 0.000
Ga13 Ga 0.793 0.793 0.587
Ga14 Ga 0.800 0.500 0.300
Co1 Co 0.099 0.599 0.199
Co2 Co 0.099 0.901 0.500
Co3 Co 0.401 0.599 0.500
Co4 Co 0.401 0.901 0.801
Co5 Co 0.599 0.099 0.199
Co6 Co 0.599 0.401 0.500
Co7 Co 0.901 0.099 0.500
Co8 Co 0.901 0.401 0.801
```


11.
Simulated PXRD pattern
Compound: PmTmP
Radiation: CuKα
Structure: DFT lattice parameters and positions (GGA-PBE)

The 8 most intense peaks (10° ≤ 2θ ≤ 90°), by angle:
Position (°2θ)	I (rel.)
27.58	1000
29.73	434
30.37	748
33.98	522
34.17	867
34.92	658
41.37	416
55.78	639

Crystal structure
```
data_PmTmP
_symmetry_space_group_name_H-M 'P 1'
_symmetry_Int_Tables_number 1
_cell_length_a 7.098
_cell_length_b 11.298
_cell_length_c 3.945
_cell_angle_alpha 90.00
_cell_angle_beta 90.00
_cell_angle_gamma 90.00
loop_
_symmetry_equiv_pos_as_xyz
'x,y,z'
loop_
_atom_site_label
_atom_site_type_symbol
_atom_site_fract_x
_atom_site_fract_y
_atom_site_fract_z
Pm1 Pm 0.233 0.057 0.000
Pm2 Pm 0.267 0.557 0.000
Pm3 Pm 0.733 0.443 0.000
Pm4 Pm 0.767 0.943 0.000
Tm1 Tm 0.097 0.307 0.500
Tm2 Tm 0.403 0.807 0.500
Tm3 Tm 0.597 0.193 0.500
Tm4 Tm 0.903 0.693 0.500
P1 P 0.121 0.802 0.000
P2 P 0.379 0.302 0.000
P3 P 0.621 0.698 0.000
P4 P 0.879 0.198 0.000
```


12.
Simulated PXRD pattern
Compound: TbSi3Tc5
Radiation: CuKα
Structure: DFT lattice parameters and positions (GGA-PBE)

The 8 most intense peaks (10° ≤ 2θ ≤ 90°), by angle:
Position (°2θ)	I (rel.)
23.53	271
27.66	239
31.44	447
32.48	385
33.28	414
38.79	744
42.66	1000
45.71	194

Crystal structure
```
data_TbSi3Tc5
_symmetry_space_group_name_H-M 'P 1'
_symmetry_Int_Tables_number 1
_cell_length_a 6.467
_cell_length_b 6.467
_cell_length_c 11.389
_cell_angle_alpha 90.00
_cell_angle_beta 90.00
_cell_angle_gamma 141.70
loop_
_symmetry_equiv_pos_as_xyz
'x,y,z'
loop_
_atom_site_label
_atom_site_type_symbol
_atom_site_fract_x
_atom_site_fract_y
_atom_site_fract_z
Tb1 Tb 0.149 0.851 0.750
Tb2 Tb 0.851 0.149 0.250
Si1 Si 0.151 0.849 0.250
Si2 Si 0.404 0.596 0.074
Si3 Si 0.404 0.596 0.426
Si4 Si 0.596 0.404 0.574
Si5 Si 0.596 0.404 0.926
Si6 Si 0.849 0.151 0.750
Tc1 Tc 0.000 0.000 0.000
Tc2 Tc 0.000 0.000 0.500
Tc3 Tc 0.207 0.793 0.039
Tc4 Tc 0.207 0.793 0.461
Tc5 Tc 0.409 0.591 0.647
Tc6 Tc 0.409 0.591 0.853
Tc7 Tc 0.591 0.409 0.147
Tc8 Tc 0.591 0.409 0.353
Tc9 Tc 0.793 0.207 0.539
Tc10 Tc 0.793 0.207 0.961
```